1.
Theoretical X-ray powder pattern
Compound: La2Si3O9
Radiation: Cu Ka
Structure: the GGA-PBE geometry in the Materials Project
No peak broadening, texture or thermal motion is included.

The 8 most intense peaks (2θ = 10–90°), by intensity:
Position (°2θ), I (rel.)
29.47, 100.0
29.05, 77.6
30.19, 37.9
32.58, 36.6
32.20, 36.4
41.74, 32.5
23.49, 31.0
16.93, 26.9

Cell and atoms:
a b c (Å): 5.5641 7.5996 8.6829
angles (deg): 108.21 108.21 91.73
Fractional coordinates of all 28 atoms:
La  0.1322  0.2040  0.2178
La  0.1929  0.8166  0.4164
La  0.8071  0.1834  0.5836
La  0.8678  0.7960  0.7822
Si  0.2371  0.5125  0.0022
Si  0.3397  0.4812  0.6679
Si  0.4299  0.0770  0.8595
Si  0.5701  0.9230  0.1405
Si  0.6603  0.5188  0.3321
Si  0.7629  0.4875  0.9978
O  0.0132  0.6663  0.0440
O  0.1318  0.0155  0.7098
O  0.1490  0.5097  0.7862
O  0.2042  0.2868  0.5146
O  0.2993  0.9939  0.0010
O  0.3607  0.5304  0.2216
O  0.3773  0.6622  0.6150
O  0.4258  0.9692  0.2941
O  0.4709  0.3231  0.9524
O  0.5291  0.6769  0.0476
O  0.5742  0.0308  0.7059
O  0.6227  0.3378  0.3850
O  0.6393  0.4696  0.7784
O  0.7007  0.0061  0.9990
O  0.7958  0.7132  0.4854
O  0.8510  0.4903  0.2138
O  0.8682  0.9845  0.2902
O  0.9868  0.3337  0.9560

=====

2.
Theoretical X-ray powder pattern
Compound: La2SiO5
Radiation: Cu Ka
Structure: the GGA-PBE geometry in the Materials Project
No peak broadening, texture or thermal motion is included.

The 8 most intense peaks (2θ = 10–90°), by intensity:
Position (°2θ), I (rel.)
28.80, 100.0
21.74, 95.6
27.74, 78.8
26.67, 65.1
24.05, 62.4
33.61, 38.2
28.64, 36.6
49.89, 34.9

Cell and atoms:
a b c (Å): 8.3159 8.3159 11.1451
angles (deg): 118.43 118.43 50.88
Fractional coordinates of all 32 atoms:
La  0.0292  0.2635  0.8352
La  0.2108  0.7145  0.5345
La  0.2635  0.0292  0.3352
La  0.2855  0.7892  0.9655
La  0.7145  0.2108  0.0345
La  0.7365  0.9708  0.6648
La  0.7892  0.2855  0.4655
La  0.9708  0.7365  0.1648
Si  0.2329  0.4078  0.6931
Si  0.4078  0.2329  0.1931
Si  0.5922  0.7671  0.8069
Si  0.7671  0.5922  0.3069
O  0.0655  0.3486  0.6720
O  0.0743  0.8953  0.1063
O  0.1037  0.6574  0.6832
O  0.1047  0.9257  0.3937
O  0.2401  0.3666  0.0704
O  0.3426  0.8963  0.8168
O  0.3486  0.0655  0.1720
O  0.3666  0.2401  0.5704
O  0.4033  0.4053  0.8516
O  0.4053  0.4033  0.3516
O  0.5947  0.5967  0.6484
O  0.5967  0.5947  0.1484
O  0.6334  0.7599  0.4296
O  0.6514  0.9345  0.8280
O  0.6574  0.1037  0.1832
O  0.7599  0.6334  0.9296
O  0.8953  0.0743  0.6063
O  0.8963  0.3426  0.3168
O  0.9257  0.1047  0.8937
O  0.9346  0.6514  0.3280

=====

3.
Theoretical X-ray powder pattern
Compound: La2SiO5
Radiation: Cu Ka
Structure: the GGA-PBE geometry in the Materials Project
No peak broadening, texture or thermal motion is included.

The 8 most intense peaks (2θ = 10–90°), by intensity:
Position (°2θ), I (rel.)
27.43, 100.0
24.41, 58.9
22.08, 42.8
31.20, 34.8
32.55, 31.6
39.56, 27.1
46.70, 24.6
14.95, 22.5

Cell and atoms:
a b c (Å): 8.3006 8.3006 11.7938
angles (deg): 95.87 95.87 91.14
Fractional coordinates of all 48 atoms:
La  0.1146  0.8369  0.5703
La  0.1397  0.4796  0.7449
La  0.1631  0.8854  0.9297
La  0.2140  0.5018  0.0686
La  0.4796  0.1397  0.2449
La  0.4982  0.7860  0.4314
La  0.5018  0.2140  0.5686
La  0.5204  0.8603  0.7551
La  0.7860  0.4982  0.9314
La  0.8369  0.1146  0.0703
La  0.8603  0.5204  0.2551
La  0.8854  0.1631  0.4297
Si  0.1323  0.8677  0.2500
Si  0.2313  0.4279  0.4485
Si  0.4279  0.2313  0.9485
Si  0.5721  0.7687  0.0515
Si  0.7687  0.5721  0.5515
Si  0.8677  0.1323  0.7500
O  0.0421  0.9325  0.3654
O  0.0502  0.3828  0.3816
O  0.0516  0.6155  0.9232
O  0.0675  0.9579  0.1346
O  0.0988  0.6698  0.2181
O  0.2427  0.7573  0.7500
O  0.2446  0.3512  0.5748
O  0.2642  0.6255  0.4691
O  0.3302  0.9012  0.2819
O  0.3353  0.3752  0.8821
O  0.3512  0.2446  0.0748
O  0.3752  0.3353  0.3821
O  0.3745  0.7358  0.0309
O  0.3828  0.0502  0.8816
O  0.3845  0.9484  0.5768
O  0.6155  0.0516  0.4232
O  0.6172  0.9498  0.1184
O  0.6255  0.2642  0.9691
O  0.6248  0.6647  0.6179
O  0.6488  0.7554  0.9252
O  0.6647  0.6248  0.1179
O  0.6698  0.0988  0.7181
O  0.7358  0.3745  0.5309
O  0.7554  0.6488  0.4252
O  0.7573  0.2427  0.2500
O  0.9012  0.3302  0.7819
O  0.9325  0.0421  0.8654
O  0.9484  0.3845  0.0768
O  0.9498  0.6172  0.6184
O  0.9579  0.0675  0.6346

=====

4.
Theoretical X-ray powder pattern
Compound: La2SiO5
Radiation: Cu Ka
Structure: the GGA-PBE geometry in the Materials Project
No peak broadening, texture or thermal motion is included.

The 8 most intense peaks (2θ = 10–90°), by intensity:
Position (°2θ), I (rel.)
26.71, 100.0
27.88, 80.2
30.79, 72.7
30.14, 65.1
44.20, 48.7
30.32, 44.4
31.76, 39.6
15.23, 39.3

Cell and atoms:
a b c (Å): 9.3562 7.7262 7.0145
angles (deg): 90.00 109.04 90.00
Fractional coordinates of all 32 atoms:
La  0.0093  0.1264  0.2310
La  0.0093  0.3736  0.7310
La  0.3890  0.1598  0.0952
La  0.3890  0.3402  0.5952
La  0.6110  0.6598  0.4048
La  0.6110  0.8402  0.9048
La  0.9907  0.6264  0.2690
La  0.9907  0.8736  0.7690
Si  0.2996  0.5721  0.0428
Si  0.2996  0.9279  0.5428
Si  0.7004  0.0721  0.4572
Si  0.7004  0.4279  0.9572
O  0.1101  0.1261  0.9508
O  0.1101  0.3739  0.4508
O  0.1216  0.6314  0.9963
O  0.1216  0.8686  0.4963
O  0.2880  0.0773  0.3672
O  0.2880  0.4227  0.8672
O  0.3688  0.0378  0.7561
O  0.3688  0.4622  0.2561
O  0.4126  0.7327  0.0501
O  0.4126  0.7673  0.5501
O  0.5874  0.2327  0.4499
O  0.5874  0.2673  0.9499
O  0.6312  0.5378  0.7439
O  0.6312  0.9622  0.2439
O  0.7120  0.5773  0.1328
O  0.7120  0.9227  0.6328
O  0.8784  0.1314  0.5037
O  0.8784  0.3686  0.0037
O  0.8899  0.6261  0.5492
O  0.8899  0.8739  0.0492

=====

5.
Theoretical X-ray powder pattern
Compound: La4Ti5Si4O22
Radiation: Cu Ka
Structure: the GGA-PBE geometry in the Materials Project
No peak broadening, texture or thermal motion is included.

The 8 most intense peaks (2θ = 10–90°), by intensity:
Position (°2θ), I (rel.)
32.50, 100.0
27.57, 69.9
27.93, 56.8
45.77, 50.0
31.34, 42.2
19.21, 37.2
31.97, 33.3
18.16, 32.8

Cell and atoms:
a b c (Å): 7.4497 7.4497 11.2116
angles (deg): 99.79 99.79 45.05
Fractional coordinates of all 35 atoms:
La  0.0692  0.0692  0.2478
La  0.3581  0.3581  0.2422
La  0.6419  0.6419  0.7578
La  0.9308  0.9308  0.7522
Ti  0.0000  0.0000  0.5000
Ti  0.0000  0.5000  0.5000
Ti  0.5000  0.0000  0.5000
Ti  0.5000  0.5000  0.0000
Ti  0.5000  0.5000  0.5000
Si  0.1386  0.1386  0.9565
Si  0.2957  0.2957  0.7705
Si  0.7043  0.7043  0.2295
Si  0.8614  0.8614  0.0435
O  0.0396  0.5120  0.6862
O  0.1437  0.1437  0.4780
O  0.1641  0.6955  0.0869
O  0.1888  0.1888  0.0974
O  0.2162  0.2162  0.8609
O  0.2283  0.7295  0.3674
O  0.2705  0.7717  0.6326
O  0.3045  0.8359  0.9131
O  0.3502  0.3502  0.4824
O  0.4083  0.4083  0.8435
O  0.4880  0.9604  0.3138
O  0.5120  0.0396  0.6862
O  0.5917  0.5917  0.1565
O  0.6498  0.6498  0.5176
O  0.6955  0.1641  0.0869
O  0.7295  0.2283  0.3674
O  0.7717  0.2705  0.6326
O  0.7838  0.7838  0.1391
O  0.8112  0.8112  0.9026
O  0.8359  0.3045  0.9131
O  0.8563  0.8563  0.5220
O  0.9604  0.4880  0.3138

=====

6.
Theoretical X-ray powder pattern
Compound: La2Ti2SiO9
Radiation: Cu Ka
Structure: the GGA-PBE geometry in the Materials Project
No peak broadening, texture or thermal motion is included.

The 8 most intense peaks (2θ = 10–90°), by intensity:
Position (°2θ), I (rel.)
28.84, 100.0
28.70, 88.8
31.38, 58.6
22.75, 44.4
44.61, 40.0
39.94, 37.8
30.89, 33.4
27.94, 31.4

Cell and atoms:
a b c (Å): 9.0307 9.0307 7.7381
angles (deg): 110.06 110.06 37.39
Fractional coordinates of all 28 atoms:
La  0.1061  0.1061  0.1942
La  0.2117  0.2117  0.8067
La  0.7883  0.7883  0.1933
La  0.8939  0.8939  0.8058
Ti  0.2407  0.7593  0.5000
Ti  0.4188  0.4188  0.0529
Ti  0.5812  0.5812  0.9471
Ti  0.7593  0.2407  0.5000
Si  0.3375  0.3375  0.5200
Si  0.6625  0.6625  0.4800
O  0.0244  0.0244  0.6780
O  0.0991  0.5788  0.0173
O  0.1396  0.6257  0.4871
O  0.2443  0.2443  0.3664
O  0.2771  0.7229  0.0000
O  0.3447  0.3447  0.7353
O  0.3743  0.8604  0.5129
O  0.4212  0.9009  0.9827
O  0.4721  0.4721  0.3135
O  0.5279  0.5279  0.6865
O  0.5788  0.0991  0.0173
O  0.6257  0.1396  0.4871
O  0.6553  0.6553  0.2647
O  0.7229  0.2771  0.0000
O  0.7557  0.7557  0.6336
O  0.8604  0.3743  0.5129
O  0.9009  0.4212  0.9827
O  0.9756  0.9756  0.3220

=====

7.
Theoretical X-ray powder pattern
Compound: LaSmO3
Radiation: Cu Ka
Structure: the GGA-PBE geometry in the Materials Project
No peak broadening, texture or thermal motion is included.

The 8 most intense peaks (2θ = 10–90°), by intensity:
Position (°2θ), I (rel.)
29.05, 100.0
51.11, 30.0
52.22, 24.4
28.73, 23.6
29.63, 22.8
41.74, 20.5
67.93, 12.3
60.22, 12.2

Cell and atoms:
a b c (Å): 6.2145 6.0302 8.7319
angles (deg): 90.00 90.00 90.00
Fractional coordinates of all 20 atoms:
La  0.0417  0.0082  0.0000
La  0.4583  0.5082  0.5000
La  0.5417  0.4918  0.0000
La  0.9583  0.9918  0.5000
Sm  0.0059  0.5000  0.7434
Sm  0.4941  0.0000  0.2434
Sm  0.5059  0.0000  0.7434
Sm  0.9941  0.5000  0.2434
O  0.0756  0.3631  0.4902
O  0.1618  0.8327  0.3003
O  0.2022  0.8081  0.6596
O  0.2978  0.3081  0.1596
O  0.3382  0.3327  0.8003
O  0.4244  0.8631  0.9902
O  0.5756  0.1369  0.4902
O  0.6618  0.6673  0.3003
O  0.7022  0.6919  0.6596
O  0.7978  0.1919  0.1596
O  0.8382  0.1673  0.8003
O  0.9244  0.6369  0.9902

=====

8.
Theoretical X-ray powder pattern
Compound: LaSm3O6
Radiation: Cu Ka
Structure: the GGA-PBE geometry in the Materials Project
No peak broadening, texture or thermal motion is included.

The 8 most intense peaks (2θ = 10–90°), by intensity:
Position (°2θ), I (rel.)
31.50, 100.0
29.09, 94.6
28.62, 87.6
30.75, 87.5
27.43, 84.8
46.16, 59.9
30.21, 58.2
41.01, 54.6

Cell and atoms:
a b c (Å): 7.4896 7.4896 18.0584
angles (deg): 100.25 100.25 28.39
Fractional coordinates of all 30 atoms:
La  0.0000  0.0000  0.0000
La  0.0008  0.0008  0.4987
La  0.6219  0.6219  0.8601
Sm  0.2769  0.2769  0.5239
Sm  0.2778  0.2778  0.0252
Sm  0.3430  0.3430  0.3354
Sm  0.3440  0.3440  0.8351
Sm  0.6208  0.6208  0.3605
Sm  0.6771  0.6771  0.1858
Sm  0.6777  0.6777  0.6846
Sm  0.9440  0.9440  0.6749
Sm  0.9452  0.9452  0.1764
O  0.1099  0.1099  0.1202
O  0.1098  0.1098  0.6193
O  0.1374  0.1374  0.4420
O  0.1373  0.1373  0.9454
O  0.1832  0.1832  0.2879
O  0.1847  0.1847  0.7854
O  0.4374  0.4374  0.0750
O  0.4368  0.4368  0.5735
O  0.4845  0.4845  0.9145
O  0.4864  0.4864  0.4130
O  0.5120  0.5120  0.7398
O  0.5143  0.5143  0.2423
O  0.7823  0.7823  0.1016
O  0.7820  0.7820  0.6010
O  0.8102  0.8102  0.4295
O  0.8109  0.8109  0.9298
O  0.8391  0.8391  0.2585
O  0.8395  0.8395  0.7584

=====

9.
Theoretical X-ray powder pattern
Compound: LaSnO3
Radiation: Cu Ka
Structure: the GGA-PBE geometry in the Materials Project
No peak broadening, texture or thermal motion is included.

The 8 most intense peaks (2θ = 10–90°), by intensity:
Position (°2θ), I (rel.)
29.99, 100.0
53.25, 41.8
42.93, 30.4
86.41, 22.8
62.33, 19.3
70.70, 18.5
78.66, 6.5
36.95, 2.7

Cell and atoms:
a b c (Å): 4.2135 4.2135 4.2135
angles (deg): 90.00 90.00 90.00
Fractional coordinates of all 5 atoms:
La  0.0000  0.0000  0.0000
Sn  0.5000  0.5000  0.5000
O  0.0000  0.5000  0.5000
O  0.5000  0.0000  0.5000
O  0.5000  0.5000  0.0000